This entry pairs a crystal structure of Sm4Ga3Fe31 with its calculated powder X-ray diffraction pattern. Radiation: Cu Kα, 1.54184 Å. Structure: a structure optimized by DFT (GGA-PBE).
Peak positions follow from Bragg's law for the DFT cell and can differ from measured ones.

Peak list (10 most intense, 10 to 90 degrees two-theta, by angle)
two_theta, d/Å, I_rel, h k l
29.88, 2.990, 35, 0 1 4
30.01, 2.978, 37, 2 1 0
37.64, 2.390, 73, 2 0 4
41.97, 2.153, 57, 0 2 -4
42.16, 2.144, 56, 2 -2 0
42.31, 2.136, 100, 2 0 -4
42.40, 2.132, 86, 2 -1 4
42.51, 2.126, 82, 2 2 -2
42.69, 2.118, 40, 3 0 0
43.49, 2.081, 96, 2 2 4

Atomic structure:
```
Sm4Ga3Fe31
1.0
6.4401 0.0000 0.0000
0.7787 6.4400 0.0000
1.6090 1.3482 12.7909
Sm Ga Fe
4 3 31
Direct
0.0000 0.0000 0.0000 Sm
0.0006 0.0014 0.5031 Sm
0.3164 0.3196 0.6609 Sm
0.3196 0.3228 0.1605 Sm
0.0024 0.0027 0.2543 Ga
0.5054 0.0028 0.0023 Ga
0.5060 0.0024 0.5021 Ga
0.0004 0.0020 0.7533 Fe
0.0002 0.5031 0.5014 Fe
0.0004 0.5042 0.0020 Fe
0.1569 0.6582 0.8301 Fe
0.1577 0.6551 0.3300 Fe
0.3132 0.3198 0.9055 Fe
0.3135 0.8083 0.6605 Fe
0.3157 0.3199 0.4063 Fe
0.3177 0.8023 0.1601 Fe
0.3673 0.6568 0.9748 Fe
0.3676 0.6567 0.4743 Fe
0.3677 0.9475 0.8291 Fe
0.3699 0.9472 0.3287 Fe
0.5623 0.5615 0.2820 Fe
0.5626 0.5614 0.7817 Fe
0.6545 0.1615 0.3282 Fe
0.6546 0.9460 0.1860 Fe
0.6575 0.6551 0.0803 Fe
0.6574 0.6554 0.5808 Fe
0.6578 0.1581 0.8290 Fe
0.6585 0.3700 0.4744 Fe
0.6583 0.9472 0.6860 Fe
0.6589 0.3698 0.9743 Fe
0.7540 0.7505 0.3780 Fe
0.7552 0.7527 0.8777 Fe
0.8117 0.3203 0.1585 Fe
0.8149 0.3171 0.6592 Fe
0.9471 0.3692 0.3313 Fe
0.9477 0.3687 0.8305 Fe
0.9477 0.6566 0.1851 Fe
0.9493 0.6592 0.6852 Fe
```